1.
The following is a computed powder diffractogram of Tb3Al7Cu4. It was derived from a DFT-relaxed cell (PBE, Alexandria), using Cu Kα.
Intensities are scaled so that the largest is 100.

Structural model:
```
data_Tb3Al7Cu4
_space_group_name_H-M_alt 'C 1 2/m 1'
_space_group_IT_number 12
_space_group_name_Hall '-C 2y'
_cell_length_a 15.557
_cell_length_b 4.190
_cell_length_c 9.509
_cell_angle_alpha 90.00
_cell_angle_beta 126.39
_cell_angle_gamma 90.00
loop_
_atom_site_label
_atom_site_fract_x
_atom_site_fract_y
_atom_site_fract_z
Tb1 0.000 0.000 0.000
Tb2 0.190 0.500 0.693
Al1 0.000 0.000 0.500
Al2 0.004 0.500 0.291
Al3 0.156 0.000 0.421
Al4 0.175 0.500 0.026
Cu1 0.124 0.000 0.845
Cu2 0.159 0.500 0.277
```

Main lines, low angle first (2θ = 10–90°):
2θ (°), Rel. int., (hkl)
18.67, 20, 2 0 -2
23.08, 22, 2 0 1
23.21, 38, 1 1 -1
30.22, 39, 3 1 0
35.51, 100, 1 1 2
36.00, 74, 5 1 -2
37.86, 13, 4 0 -4
43.18, 31, 0 2 0
43.35, 15, 6 0 0
74.18, 13, 1 3 2

---

2.
The following is a computed powder diffractogram of La6ThSn. It was derived from a DFT-relaxed cell (PBE, Alexandria), using Cu Kα.
Intensities are scaled so that the largest is 100.

Structural model:
```
data_La6ThSn
_space_group_name_H-M_alt 'P 4/m m m'
_space_group_IT_number 123
_space_group_name_Hall '-P 4 2'
_cell_length_a 5.089
_cell_length_b 5.089
_cell_length_c 10.291
_cell_angle_alpha 90.00
_cell_angle_beta 90.00
_cell_angle_gamma 90.00
loop_
_atom_site_label
_atom_site_fract_x
_atom_site_fract_y
_atom_site_fract_z
La1 0.000 0.000 0.000
La2 0.000 0.000 0.500
La3 0.000 0.500 0.248
Th1 0.500 0.500 0.500
Sn1 0.500 0.500 0.000
```

Main lines, low angle first (2θ = 10–90°):
2θ (°), Rel. int., (hkl)
30.31, 100, 1 1 2
34.87, 17, 0 0 4
35.27, 33, 2 0 0
50.44, 24, 2 0 4
50.74, 12, 2 2 0
59.73, 15, 1 1 6
60.25, 29, 3 1 2
63.05, 12, 2 2 4
82.12, 12, 3 1 6
82.58, 6, 3 3 2

---

3.
The following is a computed powder diffractogram of PmThSb. It was derived from a DFT-relaxed cell (PBE, Alexandria), using Cu Kα.
Intensities are scaled so that the largest is 100.

Structural model:
```
data_PmThSb
_space_group_name_H-M_alt 'I 4/m m m'
_space_group_IT_number 139
_space_group_name_Hall '-I 4 2'
_cell_length_a 4.581
_cell_length_b 4.581
_cell_length_c 17.504
_cell_angle_alpha 90.00
_cell_angle_beta 90.00
_cell_angle_gamma 90.00
loop_
_atom_site_label
_atom_site_fract_x
_atom_site_fract_y
_atom_site_fract_z
Pm1 0.000 0.000 0.175
Th1 0.000 0.500 0.000
Sb1 0.000 0.000 0.359
```

Main lines, low angle first (2θ = 10–90°):
2θ (°), Rel. int., (hkl)
10.11, 30, 0 0 2
29.40, 100, 1 1 2
30.65, 38, 0 0 6
34.45, 86, 1 1 4
39.34, 50, 2 0 0
50.67, 38, 2 0 6
56.85, 17, 2 2 0
65.29, 21, 3 1 2
65.97, 17, 2 2 6
68.20, 24, 3 1 4

---

4.
The following is a computed powder diffractogram of Nb6SnAu. It was derived from a DFT-relaxed cell (PBE, Alexandria), using Cu Kα.
Intensities are scaled so that the largest is 100.

Structural model:
```
data_Nb6SnAu
_space_group_name_H-M_alt 'P m m m'
_space_group_IT_number 47
_space_group_name_Hall '-P 2 2'
_cell_length_a 2.783
_cell_length_b 4.974
_cell_length_c 10.921
_cell_angle_alpha 90.00
_cell_angle_beta 90.00
_cell_angle_gamma 90.00
loop_
_atom_site_label
_atom_site_fract_x
_atom_site_fract_y
_atom_site_fract_z
Nb1 0.000 0.000 0.124
Nb2 0.000 0.500 0.252
Nb3 0.500 0.000 0.361
Sn1 0.500 0.500 0.500
Au1 0.500 0.500 0.000
```

Main lines, low angle first (2θ = 10–90°):
2θ (°), Rel. int., (hkl)
36.12, 57, 0 2 0
36.23, 32, 1 0 2
37.58, 100, 0 1 4
37.95, 28, 1 1 1
40.66, 62, 1 1 2
40.81, 14, 1 0 3
52.08, 23, 1 2 2
65.92, 19, 0 3 4
72.81, 14, 1 2 6
79.70, 22, 2 1 4